# KTbF5
Calculated powder X-ray diffraction pattern, Cu Kα, 1.54184 Å. Input: a DFT-relaxed cell (GGA-PBE, the Materials Project).
Kinematic intensities with the Lorentz-polarization factor, no thermal factor.

Peak list (6 most intense, 15° ≤ 2θ ≤ 90°, by angle)
2θ 20.9, rel. 62.1, hkl 0 1 -2
2θ 21.6, rel. 44.9, hkl -1 1 1
2θ 25.3, rel. 55.1, hkl 1 2 -1
2θ 25.7, rel. 46.3, hkl 1 0 3
2θ 26.0, rel. 100.0, hkl 0 2 2
2θ 29.0, rel. 44.7, hkl 2 2 2

Atomic structure:
abc: 7.416 8.581 11.178
angles: 79.06 75.67 70.53
Space group P-1 (No. 2)
Symmetry-distinct sites (fractional):
K: 0.218 0.498 0.264 x2
K: 0.223 0.152 0.566 x2
K: 0.266 0.822 0.926 x2
Tb: 0.205 0.037 0.242 x2
Tb: 0.231 0.333 0.941 x2
Tb: 0.261 0.666 0.585 x2
F: 0.074 0.249 0.363 x2
F: 0.100 0.564 0.041 x2
F: 0.118 0.816 0.192 x2
F: 0.126 0.114 0.049 x2
F: 0.128 0.889 0.705 x2
F: 0.152 0.210 0.794 x2
F: 0.159 0.487 0.514 x2
F: 0.185 0.872 0.428 x2
F: 0.208 0.534 0.778 x2
F: 0.337 0.236 0.126 x2
F: 0.459 0.036 0.345 x2
F: 0.480 0.579 0.399 x2
F: 0.482 0.853 0.145 x2
F: 0.483 0.257 0.380 x2
F: 0.496 0.445 0.929 x2